[1]
Diffraction record for Ca3RhPb. The powder diffractogram is simulated, not measured: it uses a crystal structure in Alexandria, relaxed with PBE and Cu Kα, 1.54184 Å.
No peak broadening, texture or thermal motion is included.

a = 9.620 Å, b = 8.926 Å, c = 5.999 Å
α = 77.53°, β = 64.96°, γ = 37.51°
Element x y z (fractional)
Ca  0.192  0.586  0.414
Ca  0.202  0.202  0.798
Ca  0.414  0.808  0.192
Ca  0.586  0.192  0.808
Ca  0.798  0.798  0.202
Ca  0.808  0.414  0.586
Rh  0.250  0.250  0.250
Rh  0.750  0.750  0.750
Pb  0.218  0.782  0.782
Pb  0.782  0.218  0.218

Principal peaks in the range 2θ from 5° to 70°, low angle first:
| 2θ/deg | I_rel |
| --- | --- |
| 20.95 | 96 |
| 21.53 | 39 |
| 33.79 | 100 |
| 34.17 | 54 |
| 36.36 | 24 |
| 37.41 | 41 |


[2]
Diffraction record for Cr3Pt. The powder diffractogram is simulated, not measured: it uses a crystal structure in Alexandria, relaxed with PBE and Cu Kα, 1.54184 Å.
No peak broadening, texture or thermal motion is included.

a = 2.576 Å, b = 8.529 Å, c = 4.645 Å
α = 90.00°, β = 90.00°, γ = 90.00°
Element x y z (fractional)
Cr  0.000  0.000  0.000
Cr  0.000  0.251  0.316
Cr  0.000  0.749  0.316
Cr  0.500  0.249  0.816
Cr  0.500  0.500  0.500
Cr  0.500  0.751  0.816
Pt  0.000  0.500  0.991
Pt  0.500  0.000  0.491

Principal peaks in the range 2θ from 5° to 70°, low angle first:
| 2θ/deg | I_rel |
| --- | --- |
| 20.83 | 37 |
| 21.79 | 67 |
| 40.02 | 37 |
| 42.39 | 40 |
| 44.42 | 59 |
| 45.54 | 100 |


[3]
Diffraction record for CsInGaAs2. The powder diffractogram is simulated, not measured: it uses a crystal structure in Alexandria, relaxed with PBE and Cu Kα, 1.54184 Å.
No peak broadening, texture or thermal motion is included.

a = 7.373 Å, b = 7.373 Å, c = 10.041 Å
α = 98.26°, β = 98.26°, γ = 38.46°
Element x y z (fractional)
Cs  0.160  0.160  0.168
Cs  0.840  0.840  0.832
In  0.452  0.452  0.315
In  0.548  0.548  0.685
Ga  0.165  0.165  0.556
Ga  0.835  0.835  0.444
As  0.117  0.117  0.790
As  0.360  0.360  0.550
As  0.640  0.640  0.450
As  0.883  0.883  0.210

Principal peaks in the range 2θ from 5° to 70°, low angle first:
| 2θ/deg | I_rel |
| --- | --- |
| 8.91 | 100 |
| 20.95 | 53 |
| 26.73 | 93 |
| 32.58 | 70 |
| 37.02 | 69 |
| 51.07 | 47 |


[4]
Diffraction record for NdSm4H8. The powder diffractogram is simulated, not measured: it uses a crystal structure in Alexandria, relaxed with PBE and Cu Kα, 1.54184 Å.
No peak broadening, texture or thermal motion is included.

a = 5.819 Å, b = 5.819 Å, c = 5.819 Å
α = 90.00°, β = 90.00°, γ = 90.00°
Element x y z (fractional)
Nd  0.000  0.000  0.000
Sm  0.000  0.000  0.500
Sm  0.000  0.500  0.000
Sm  0.500  0.000  0.000
Sm  0.500  0.500  0.500
H  0.243  0.243  0.243
H  0.243  0.243  0.757
H  0.243  0.757  0.243
H  0.243  0.757  0.757
H  0.757  0.243  0.243
H  0.757  0.243  0.757
H  0.757  0.757  0.243
H  0.757  0.757  0.757

Principal peaks in the range 2θ from 5° to 70°, low angle first:
| 2θ/deg | I_rel |
| --- | --- |
| 15.23 | 21 |
| 26.53 | 75 |
| 30.73 | 100 |
| 44.02 | 79 |
| 52.13 | 35 |
| 54.64 | 27 |